Starting from a cell relaxed with GGA+U, the powder XRD pattern of KAg2WF8 was simulated for copper Kα.
Lines closer than 0.1° are merged.

```
KAg2WF8
1.0
5.370 0.000 0.000
-2.685 4.651 0.000
0.000 0.000 8.616
K Ag W F
1 2 1 8
direct
0.000 0.000 0.000
0.333 0.667 0.226
0.667 0.333 0.774
0.000 0.000 0.500
0.165 0.330 0.638
0.165 0.835 0.638
0.330 0.165 0.362
0.333 0.667 0.981
0.667 0.333 0.019
0.670 0.835 0.638
0.835 0.165 0.362
0.835 0.670 0.362
```

Top 10 peaks for 10° ≤ 2θ ≤ 80°, in order of rising 2θ:
| Position (°2θ) | I_rel |
| --- | --- |
| 10.27 | 29 |
| 21.72 | 100 |
| 28.24 | 84 |
| 33.37 | 54 |
| 36.78 | 21 |
| 40.17 | 29 |
| 44.26 | 26 |
| 53.18 | 18 |
| 54.62 | 29 |
| 56.55 | 24 |